For Pm5TlPb8, a PBE-relaxed structure gives the simulated powder diffractogram in this record (a wavelength of 1.5418 Å).
Kinematic intensities with the Lorentz-polarization factor, no thermal factor.

Cell and atoms:
a b c (Å): 8.3255 8.3255 8.3255
angles (deg): 108.18 108.18 112.09
Atoms (fractional coordinates):
Pm 0.0000 0.0000 0.0000
Pm 0.0926 0.2631 0.5977
Pm 0.5051 0.9074 0.1705
Pm 0.6654 0.4949 0.4023
Pm 0.7369 0.3346 0.8295
Tl 0.2500 0.7500 0.5000
Pb 0.0754 0.6594 0.7941
Pb 0.2409 0.4629 0.0969
Pb 0.3406 0.1347 0.4160
Pb 0.3659 0.1439 0.9031
Pb 0.5371 0.6341 0.7780
Pb 0.7187 0.9246 0.5840
Pb 0.8561 0.7591 0.2220
Pb 0.8653 0.2813 0.2059

Top 10 peaks for 2θ from 10° to 80°, in order of falling intensity:
two_theta, Rel. int.
28.9, 100
29.1, 99
34.9, 95
30.2, 92
35.5, 82
34.5, 71
45.9, 47
59.9, 28
22.5, 26
59.0, 23


For Pm4TlPb3, a PBE-relaxed structure gives the simulated powder diffractogram in this record (a wavelength of 1.5418 Å).
Kinematic intensities with the Lorentz-polarization factor, no thermal factor.

Cell and atoms:
a b c (Å): 7.1831 7.2590 9.7370
angles (deg): 90.00 111.63 90.00
Atoms (fractional coordinates):
Pm 0.1263 0.2500 0.2510
Pm 0.1263 0.7500 0.2510
Pm 0.3737 0.2500 0.7490
Pm 0.3737 0.7500 0.7490
Pm 0.6263 0.2500 0.2510
Pm 0.6263 0.7500 0.2510
Pm 0.8737 0.2500 0.7490
Pm 0.8737 0.7500 0.7490
Tl 0.0000 0.0000 0.5000
Tl 0.5000 0.5000 0.5000
Pb 0.0000 0.5000 0.5000
Pb 0.2498 0.0000 0.9999
Pb 0.2502 0.5000 0.0001
Pb 0.5000 0.0000 0.5000
Pb 0.7502 0.0000 0.0001
Pb 0.7498 0.5000 0.9999

Top 10 peaks for 2θ from 10° to 80°, in order of falling intensity:
two_theta, Rel. int.
31.6, 100
31.8, 98
35.2, 76
54.2, 45
60.7, 32
61.1, 31
39.8, 27
50.3, 14
50.8, 13
66.0, 12


For Pm6Tl3Pb, a PBE-relaxed structure gives the simulated powder diffractogram in this record (a wavelength of 1.5418 Å).
Kinematic intensities with the Lorentz-polarization factor, no thermal factor.

Cell and atoms:
a b c (Å): 12.0292 3.7807 14.5692
angles (deg): 90.00 105.05 90.00
Atoms (fractional coordinates):
Pm 0.0052 0.2500 0.1752
Pm 0.1089 0.7500 0.4113
Pm 0.2367 0.2500 0.8240
Pm 0.3102 0.2500 0.2572
Pm 0.3537 0.2500 0.6220
Pm 0.3724 0.7500 0.0276
Pm 0.6276 0.2500 0.9724
Pm 0.6463 0.7500 0.3780
Pm 0.6898 0.7500 0.7428
Pm 0.7633 0.7500 0.1760
Pm 0.8911 0.2500 0.5887
Pm 0.9948 0.7500 0.8248
Tl 0.1180 0.7500 0.6358
Tl 0.1425 0.2500 0.0160
Tl 0.3908 0.7500 0.4457
Tl 0.6092 0.2500 0.5543
Tl 0.8575 0.7500 0.9840
Tl 0.8820 0.2500 0.3642
Pb 0.4589 0.7500 0.8152
Pb 0.5411 0.2500 0.1848

Top 10 peaks for 2θ from 10° to 80°, in order of falling intensity:
two_theta, Rel. int.
31.8, 100
29.8, 99
35.3, 71
32.6, 67
30.7, 47
33.1, 43
48.1, 38
58.8, 34
36.4, 33
30.4, 28


For PmYTlPb, a PBE-relaxed structure gives the simulated powder diffractogram in this record (a wavelength of 1.5418 Å).
Kinematic intensities with the Lorentz-polarization factor, no thermal factor.

Cell and atoms:
a b c (Å): 5.0715 5.0715 8.8955
angles (deg): 90.00 90.00 90.00
Atoms (fractional coordinates):
Pm 0.0000 0.0000 0.0000
Pm 0.5000 0.5000 0.5000
Y 0.0000 0.0000 0.5000
Y 0.5000 0.5000 0.0000
Tl 0.0000 0.5000 0.7500
Tl 0.5000 0.0000 0.2500
Pb 0.0000 0.5000 0.2500
Pb 0.5000 0.0000 0.7500

Top 10 peaks for 2θ from 10° to 80°, in order of falling intensity:
two_theta, Rel. int.
32.1, 100
35.4, 38
61.5, 31
54.9, 22
50.9, 14
40.6, 13
67.0, 12
68.5, 11
24.8, 6
20.0, 5


For PmTmPb2, a PBE-relaxed structure gives the simulated powder diffractogram in this record (a wavelength of 1.5418 Å).
Kinematic intensities with the Lorentz-polarization factor, no thermal factor.

Cell and atoms:
a b c (Å): 6.3864 6.3884 12.0855
angles (deg): 90.00 104.17 90.00
Atoms (fractional coordinates):
Pm 0.1876 0.1277 0.1312
Pm 0.1876 0.8723 0.6312
Pm 0.8124 0.1277 0.3688
Pm 0.8124 0.8723 0.8688
Tm 0.3205 0.3719 0.8737
Tm 0.3205 0.6281 0.3737
Tm 0.6795 0.3719 0.6263
Tm 0.6795 0.6281 0.1263
Pb 0.1695 0.3728 0.6048
Pb 0.1695 0.6272 0.1048
Pb 0.3294 0.1310 0.4036
Pb 0.3294 0.8690 0.9036
Pb 0.6706 0.1310 0.0964
Pb 0.6706 0.8690 0.5964
Pb 0.8305 0.3728 0.8952
Pb 0.8305 0.6272 0.3952

Top 10 peaks for 2θ from 10° to 80°, in order of falling intensity:
two_theta, Rel. int.
39.9, 100
29.0, 98
36.3, 87
30.5, 82
29.1, 57
36.0, 49
28.8, 42
51.4, 40
50.7, 39
36.7, 39


For Pm5Tm8Pb, a PBE-relaxed structure gives the simulated powder diffractogram in this record (a wavelength of 1.5418 Å).
Kinematic intensities with the Lorentz-polarization factor, no thermal factor.

Cell and atoms:
a b c (Å): 8.5442 8.5442 8.5442
angles (deg): 102.94 102.94 123.51
Atoms (fractional coordinates):
Pm 0.0000 0.0000 0.0000
Pm 0.2262 0.4302 0.7959
Pm 0.5698 0.3657 0.7959
Pm 0.5698 0.7738 0.2041
Pm 0.6343 0.4302 0.2041
Tm 0.0330 0.5330 0.0660
Tm 0.0330 0.9670 0.5000
Tm 0.4207 0.0821 0.3385
Tm 0.4670 0.5330 0.5000
Tm 0.4670 0.9670 0.9340
Tm 0.7436 0.0821 0.6615
Tm 0.9179 0.2564 0.3385
Tm 0.9179 0.5793 0.6615
Pb 0.2500 0.7500 0.5000

Top 10 peaks for 2θ from 10° to 80°, in order of falling intensity:
two_theta, Rel. int.
32.3, 100
32.5, 49
34.3, 40
27.5, 39
34.7, 36
33.7, 34
27.7, 29
55.0, 16
11.8, 16
51.3, 15


For Pm2TmPb3, a PBE-relaxed structure gives the simulated powder diffractogram in this record (a wavelength of 1.5418 Å).
Kinematic intensities with the Lorentz-polarization factor, no thermal factor.

Cell and atoms:
a b c (Å): 8.6632 8.6632 5.8900
angles (deg): 103.83 103.83 113.80
Atoms (fractional coordinates):
Pm 0.0822 0.9178 0.7500
Pm 0.2479 0.7521 0.2500
Pm 0.7521 0.2479 0.7500
Pm 0.9178 0.0822 0.2500
Tm 0.4159 0.5841 0.7500
Tm 0.5841 0.4159 0.2500
Pb 0.0000 0.5000 0.5000
Pb 0.1757 0.3378 0.9914
Pb 0.3378 0.1757 0.4914
Pb 0.5000 0.0000 0.0000
Pb 0.6622 0.8243 0.5086
Pb 0.8243 0.6622 0.0086

Top 10 peaks for 2θ from 10° to 80°, in order of falling intensity:
two_theta, Rel. int.
29.9, 100
34.1, 70
31.0, 45
37.2, 28
49.2, 25
51.6, 22
42.5, 19
57.7, 16
47.7, 14
59.8, 14


For Pm3Tm3Pb2, a PBE-relaxed structure gives the simulated powder diffractogram in this record (a wavelength of 1.5418 Å).
Kinematic intensities with the Lorentz-polarization factor, no thermal factor.

Cell and atoms:
a b c (Å): 4.8540 4.8681 9.8731
angles (deg): 90.00 90.00 90.00
Atoms (fractional coordinates):
Pm 0.0000 0.0000 0.0000
Pm 0.0000 0.0000 0.5000
Pm 0.5000 0.5000 0.0000
Tm 0.5000 0.0000 0.2526
Tm 0.5000 0.0000 0.7474
Tm 0.5000 0.5000 0.5000
Pb 0.0000 0.5000 0.2531
Pb 0.0000 0.5000 0.7469

Top 10 peaks for 2θ from 10° to 80°, in order of falling intensity:
two_theta, Rel. int.
31.7, 100
52.9, 24
36.4, 17
36.9, 17
37.0, 17
62.6, 14
63.3, 14
63.4, 14
66.3, 12
53.3, 12


For Pm6Tm8Pb, a PBE-relaxed structure gives the simulated powder diffractogram in this record (a wavelength of 1.5418 Å).
Kinematic intensities with the Lorentz-polarization factor, no thermal factor.

Cell and atoms:
a b c (Å): 9.2964 9.2964 6.6556
angles (deg): 90.00 90.00 120.00
Atoms (fractional coordinates):
Pm 0.0811 0.6848 0.4003
Pm 0.3152 0.3963 0.4003
Pm 0.3963 0.0811 0.5997
Pm 0.6037 0.9189 0.4003
Pm 0.6848 0.6037 0.5997
Pm 0.9189 0.3152 0.5997
Tm 0.0193 0.3344 0.1026
Tm 0.3150 0.9807 0.1026
Tm 0.3333 0.6667 0.8253
Tm 0.3344 0.3150 0.8974
Tm 0.6656 0.6850 0.1026
Tm 0.6667 0.3333 0.1747
Tm 0.6850 0.0193 0.8974
Tm 0.9807 0.6656 0.8974
Pb 0.0000 0.0000 0.5000

Top 10 peaks for 2θ from 10° to 80°, in order of falling intensity:
two_theta, Rel. int.
33.1, 100
33.4, 86
32.3, 64
25.9, 37
51.3, 22
66.1, 20
29.0, 17
47.7, 17
59.0, 15
59.5, 12


For Pm5Tm2Pb5, a PBE-relaxed structure gives the simulated powder diffractogram in this record (a wavelength of 1.5418 Å).
Kinematic intensities with the Lorentz-polarization factor, no thermal factor.

Cell and atoms:
a b c (Å): 7.6273 7.6273 12.9511
angles (deg): 113.25 113.25 35.24
Atoms (fractional coordinates):
Pm 0.0000 0.0000 0.0000
Pm 0.1610 0.1610 0.5243
Pm 0.1999 0.1999 0.8243
Pm 0.8001 0.8001 0.1757
Pm 0.8390 0.8390 0.4757
Tm 0.4398 0.4398 0.7125
Tm 0.5602 0.5602 0.2875
Pb 0.1999 0.1999 0.2819
Pb 0.3812 0.3812 0.0634
Pb 0.5000 0.5000 0.5000
Pb 0.6188 0.6188 0.9366
Pb 0.8001 0.8001 0.7181

Top 10 peaks for 2θ from 10° to 80°, in order of falling intensity:
two_theta, Rel. int.
30.3, 100
27.5, 65
31.2, 52
39.2, 50
39.0, 49
24.0, 41
28.0, 35
30.9, 30
39.6, 29
41.0, 24


For Pm12Tm5Pb2, a PBE-relaxed structure gives the simulated powder diffractogram in this record (a wavelength of 1.5418 Å).
Kinematic intensities with the Lorentz-polarization factor, no thermal factor.

Cell and atoms:
a b c (Å): 9.0284 9.0284 8.5559
angles (deg): 92.38 92.38 63.98
Atoms (fractional coordinates):
Pm 0.0529 0.0529 0.3148
Pm 0.0742 0.6810 0.3509
Pm 0.1637 0.5313 0.7683
Pm 0.3190 0.9258 0.6491
Pm 0.4160 0.4160 0.1187
Pm 0.4687 0.8363 0.2317
Pm 0.5313 0.1637 0.7683
Pm 0.5840 0.5840 0.8813
Pm 0.6810 0.0742 0.3509
Pm 0.8363 0.4687 0.2317
Pm 0.9258 0.3190 0.6491
Pm 0.9471 0.9471 0.6852
Tm 0.1816 0.1816 0.0009
Tm 0.2657 0.2657 0.4125
Tm 0.5000 0.5000 0.5000
Tm 0.7343 0.7343 0.5875
Tm 0.8184 0.8184 0.9991
Pb 0.1915 0.8085 0.0000
Pb 0.8085 0.1915 0.0000

Top 10 peaks for 2θ from 10° to 80°, in order of falling intensity:
two_theta, Rel. int.
32.1, 100
30.0, 93
32.0, 83
33.1, 70
35.1, 49
30.6, 42
29.4, 37
57.6, 37
35.4, 29
55.5, 28


For PmTm7Pb2, a PBE-relaxed structure gives the simulated powder diffractogram in this record (a wavelength of 1.5418 Å).
Kinematic intensities with the Lorentz-polarization factor, no thermal factor.

Cell and atoms:
a b c (Å): 8.9778 8.9778 5.3770
angles (deg): 90.00 90.00 119.14
Atoms (fractional coordinates):
Pm 0.0000 0.0000 0.0000
Tm 0.0594 0.3027 0.5000
Tm 0.2233 0.7767 0.0000
Tm 0.3027 0.0594 0.5000
Tm 0.5000 0.5000 0.5000
Tm 0.6973 0.9406 0.5000
Tm 0.7767 0.2233 0.0000
Tm 0.9406 0.6973 0.5000
Pb 0.3062 0.6938 0.5000
Pb 0.6938 0.3062 0.5000

Top 10 peaks for 2θ from 10° to 80°, in order of falling intensity:
two_theta, Rel. int.
34.9, 100
34.5, 70
16.5, 64
33.3, 60
30.3, 59
28.4, 44
45.7, 39
19.5, 29
20.0, 27
61.6, 27